Pm12Mg2Sc5: computed powder XRD pattern (Cu Kα X-rays), based on DFT lattice parameters and positions (GGA-PBE).
Lines closer than 0.1° are merged.

Structure:
Unit cell a=8.8338 b=8.8338 c=8.4083 alpha=92.68 beta=92.68 gamma=64.40
Element x y z (fractional)
Pm 0.0644 0.0644 0.1881
Pm 0.1001 0.6779 0.1344
Pm 0.1268 0.5305 0.7223
Pm 0.3221 0.8999 0.8656
Pm 0.3792 0.3792 0.3859
Pm 0.4695 0.8732 0.2777
Pm 0.5305 0.1268 0.7223
Pm 0.6208 0.6208 0.6141
Pm 0.6779 0.1001 0.1344
Pm 0.8732 0.4695 0.2777
Pm 0.8999 0.3221 0.8656
Pm 0.9356 0.9356 0.8119
Mg 0.2001 0.7999 0.5000
Mg 0.7999 0.2001 0.5000
Sc 0.1668 0.1668 0.5460
Sc 0.2660 0.2660 0.0455
Sc 0.5000 0.5000 0.0000
Sc 0.7340 0.7340 0.9545
Sc 0.8332 0.8332 0.4540

Top 10 peaks for 5 to 70 degrees two-theta, by angle:
Position (°2θ)  intensity
23.84  35
30.51  23
30.89  26
31.13  36
31.42  100
31.97  92
33.58  46
33.79  20
38.27  46
47.59  22